No. 1
The following is a simulated powder XRD pattern of SmTcBrO4. It was derived from a cell relaxed with GGA-PBE, using Cu Kα.
Kinematic intensities with the Lorentz-polarization factor, no thermal factor.

The 6 most intense peaks (2θ from 10° to 90°), in order of falling intensity:
Position (°2θ)	d_spacing	I/Imax
24.44	3.642	100
28.61	3.120	66
23.98	3.711	45
13.01	6.803	42
34.35	2.611	41
28.30	3.153	26

Crystal structure
abc: 6.4822 6.4822 7.0204
angles: 101.79 101.79 68.37
Fractional coordinates of all 14 atoms:
Sm1 0.2269 0.2269 0.1084
Sm2 0.7731 0.7731 0.8916
Tc1 0.3675 0.3675 0.7219
Tc2 0.6325 0.6325 0.2781
Br1 0.0127 0.0127 0.7543
Br2 0.9873 0.9873 0.2457
O1 0.1245 0.4847 0.8565
O2 0.2893 0.2893 0.4717
O3 0.4643 0.4643 0.2136
O4 0.4847 0.1245 0.8565
O5 0.5153 0.8755 0.1435
O6 0.5357 0.5357 0.7864
O7 0.7107 0.7107 0.5283
O8 0.8755 0.5153 0.1435

---

No. 2
The following is a simulated powder XRD pattern of PuCd2BiO8. It was derived from a cell relaxed with GGA-PBE, using Cu Kα.
Kinematic intensities with the Lorentz-polarization factor, no thermal factor.

The 6 most intense peaks (2θ from 10° to 90°), in order of falling intensity:
Position (°2θ)	d_spacing	I/Imax
31.51	2.839	100
24.24	3.671	59
25.52	3.490	49
47.45	1.916	42
48.90	1.863	35
35.49	2.529	30

Crystal structure
abc: 5.0654 5.0654 6.8612
angles: 90.00 90.00 92.90
Fractional coordinates of all 12 atoms:
Pu1 0.0000 0.0000 0.0000
Cd1 0.5000 0.5000 0.2511
Cd2 0.5000 0.5000 0.7489
Bi1 0.0000 0.0000 0.5000
O1 0.1833 0.8167 0.2342
O2 0.1833 0.8167 0.7658
O3 0.2763 0.2763 0.0000
O4 0.2927 0.2927 0.5000
O5 0.7073 0.7073 0.5000
O6 0.7237 0.7237 0.0000
O7 0.8167 0.1833 0.2342
O8 0.8167 0.1833 0.7658

---

No. 3
The following is a simulated powder XRD pattern of FeHg2Ru. It was derived from a cell relaxed with GGA-PBE, using Cu Kα.
Kinematic intensities with the Lorentz-polarization factor, no thermal factor.

The 6 most intense peaks (2θ from 10° to 90°), in order of falling intensity:
Position (°2θ)	d_spacing	I/Imax
37.56	2.394	100
38.57	2.334	93
43.67	2.073	66
64.82	1.438	50
22.25	3.996	32
45.39	1.998	29

Crystal structure
abc: 4.9234 4.9234 2.9906
angles: 90.00 90.00 108.53
Fractional coordinates of all 4 atoms:
Fe1 0.0000 0.0000 0.0000
Hg1 0.0000 0.5000 0.5000
Hg2 0.5000 0.0000 0.5000
Ru1 0.5000 0.5000 0.0000

---

No. 4
The following is a simulated powder XRD pattern of KNa2Sn2I7. It was derived from a cell relaxed with GGA-PBE, using Cu Kα.
Kinematic intensities with the Lorentz-polarization factor, no thermal factor.

The 6 most intense peaks (2θ from 10° to 90°), in order of falling intensity:
Position (°2θ)	d_spacing	I/Imax
27.90	3.197	100
24.00	3.708	73
39.60	2.276	65
27.53	3.240	44
39.87	2.261	38
49.14	1.854	35

Crystal structure
abc: 13.5924 13.5924 13.5924
angles: 152.83 39.10 152.42
Fractional coordinates of all 12 atoms:
K1 0.0000 0.0000 0.0000
Na1 0.4416 0.6936 0.7480
Na2 0.9456 0.6936 0.2520
Sn1 0.5507 0.1737 0.3770
Sn2 0.7968 0.1737 0.6230
I1 0.0903 0.7110 0.3793
I2 0.3317 0.7110 0.6207
I3 0.4467 0.1935 0.2532
I4 0.5831 0.7055 0.8776
I5 0.7302 0.2302 0.5000
I6 0.8279 0.7055 0.1224
I7 0.9403 0.1935 0.7468